No. 1
Simulated powder XRD pattern of La6TbHo3 for λ = 1.5418 Å (Cu Kα), from the GGA-PBE geometry in Alexandria.
Neutral-atom scattering factors, no anomalous dispersion.

Crystal structure
```
20
Lattice="10.1074 0.0000 0.0000 0.0000 12.5204 0.0000 0.0000 0.0000 5.6404" Properties=species:S:1:pos:R:3 pbc="T T T"
La 0.5546 2.7733 0.0000
La 1.8266 8.4122 2.8202
La 1.8868 12.2950 0.0000
La 3.1669 6.0348 0.0000
La 3.2271 2.1520 2.8202
La 4.4991 9.0335 0.0000
La 5.6083 3.4869 0.0000
La 6.8803 10.3685 2.8202
La 6.9405 6.4856 0.0000
La 8.2206 0.2254 0.0000
La 8.2808 4.1083 2.8202
La 9.5528 9.7471 0.0000
Tb 0.0000 6.2602 0.0000
Tb 5.0537 0.0000 0.0000
Ho 0.0000 0.0000 2.8202
Ho 1.4798 5.0518 2.8202
Ho 3.5739 11.3120 2.8202
Ho 5.0537 6.2602 2.8202
Ho 6.5335 1.2084 2.8202
Ho 8.6276 7.4686 2.8202
```

Peak list (6 most intense, 10 to 90 degrees two-theta, by angle)
27.66°, intensity 22
28.02°, intensity 26
31.74°, intensity 100
32.02°, intensity 21
32.72°, intensity 21
34.19°, intensity 17



No. 2
Simulated powder XRD pattern of La4Tb3Ho8 for λ = 1.5418 Å (Cu Kα), from the GGA-PBE geometry in Alexandria.
Neutral-atom scattering factors, no anomalous dispersion.

Crystal structure
```
15
Lattice="3.4950 2.0179 11.9251 -3.4950 2.0179 11.9251 0.0000 -4.0357 11.9251" Properties=species:S:1:pos:R:3 pbc="T T T"
La 0.0000 0.0000 0.0000
La 0.0000 0.0000 5.8491
La 0.0000 0.0000 17.8876
La 0.0000 0.0000 29.9261
Tb -1.7475 -1.0089 11.9251
Tb -1.7475 1.0089 23.8502
Tb 0.0000 2.0179 11.9251
Ho 0.0000 -2.0064 14.8495
Ho -1.7376 1.0032 14.8495
Ho -1.7376 -1.0032 20.9257
Ho 0.0000 0.0000 9.1424
Ho 0.0000 0.0000 26.6328
Ho 1.7376 1.0032 14.8496
Ho 1.7376 -1.0032 20.9257
Ho 0.0000 2.0064 20.9257
```

Peak list (6 most intense, 10 to 90 degrees two-theta, by angle)
29.97°, intensity 68
31.20°, intensity 100
35.82°, intensity 73
52.35°, intensity 35
61.51°, intensity 44
85.62°, intensity 27



No. 3
Simulated powder XRD pattern of La2TbHo6 for λ = 1.5418 Å (Cu Kα), from the GGA-PBE geometry in Alexandria.
Neutral-atom scattering factors, no anomalous dispersion.

Crystal structure
```
18
Lattice="-4.9142 8.5082 3.4878 4.9142 -8.5082 3.4878 4.9142 8.5082 -3.4878" Properties=species:S:1:pos:R:3 pbc="T T T"
La 4.9142 5.6718 -1.7439
La 0.0000 2.8364 1.7439
La 4.9142 5.6718 1.7439
La 0.0000 2.8364 5.2317
Tb 4.9142 0.0000 1.7439
Tb 0.0000 8.5082 1.7439
Ho -3.2510 8.5008 3.4878
Ho 8.1651 0.0074 0.0000
Ho 3.2885 2.8050 0.0000
Ho 6.5392 2.8195 0.0000
Ho 1.6250 5.6887 0.0000
Ho 3.2885 -2.8050 3.4878
Ho 3.2510 8.5008 0.0000
Ho 1.6632 0.0074 3.4878
Ho 1.6257 11.3132 0.0000
Ho 3.2891 2.8195 3.4878
Ho -1.6250 5.6887 3.4878
Ho 1.6257 5.7033 3.4878
```

Peak list (6 most intense, 10 to 90 degrees two-theta, by angle)
31.50°, intensity 100
41.01°, intensity 8
45.14°, intensity 17
56.13°, intensity 28
62.52°, intensity 15
74.80°, intensity 8



No. 4
Simulated powder XRD pattern of La2Tb7Ho2 for λ = 1.5418 Å (Cu Kα), from the GGA-PBE geometry in Alexandria.
Neutral-atom scattering factors, no anomalous dispersion.

Crystal structure
```
11
Lattice="5.6571 -5.8011 0.0000 5.6571 5.8011 0.0000 -2.4614 0.0000 5.6171" Properties=species:S:1:pos:R:3 pbc="T T T"
La 0.2505 0.0000 1.7297
La 8.6023 0.0000 3.8874
Tb 2.8837 2.7572 1.7940
Tb 0.8210 0.0000 5.1810
Tb 5.9691 2.7572 3.8231
Tb 4.4264 0.0000 2.8086
Tb 2.8837 -2.7572 1.7940
Tb 8.0318 0.0000 0.4361
Tb 5.9691 -2.7572 3.8231
Ho 5.6571 2.4671 0.0000
Ho 5.6571 -2.4671 0.0000
```

Peak list (6 most intense, 10 to 90 degrees two-theta, by angle)
30.44°, intensity 21
30.83°, intensity 38
31.77°, intensity 100
33.35°, intensity 31
33.65°, intensity 24
55.47°, intensity 20



What did the fourth record say?
Simulated powder XRD pattern of La2Tb7Ho2 for λ = 1.5418 Å (Cu Kα), from the GGA-PBE geometry in Alexandria.
Neutral-atom scattering factors, no anomalous dispersion.

Crystal structure
```
11
Lattice="5.6571 -5.8011 0.0000 5.6571 5.8011 0.0000 -2.4614 0.0000 5.6171" Properties=species:S:1:pos:R:3 pbc="T T T"
La 0.2505 0.0000 1.7297
La 8.6023 0.0000 3.8874
Tb 2.8837 2.7572 1.7940
Tb 0.8210 0.0000 5.1810
Tb 5.9691 2.7572 3.8231
Tb 4.4264 0.0000 2.8086
Tb 2.8837 -2.7572 1.7940
Tb 8.0318 0.0000 0.4361
Tb 5.9691 -2.7572 3.8231
Ho 5.6571 2.4671 0.0000
Ho 5.6571 -2.4671 0.0000
```

Peak list (6 most intense, 10 to 90 degrees two-theta, by angle)
30.44°, intensity 21
30.83°, intensity 38
31.77°, intensity 100
33.35°, intensity 31
33.65°, intensity 24
55.47°, intensity 20